Structure and simulated powder XRD pattern of KSrBC2 (a structure optimized by DFT (PBE); Cu Kα, 1.54184 Å).

Structure:
a b c (Å): 3.8773 3.8773 4.7747
angles (deg): 90.00 90.00 90.00
Space group P4/mmm (No. 123)
Inequivalent atoms, fractional coordinates:
K (0.0000, 0.0000, 0.0000) [1 per cell]
Sr (0.5000, 0.5000, 0.0000) [1 per cell]
B (0.5000, 0.5000, 0.5000) [1 per cell]
C (0.0000, 0.5000, 0.5000) [2 per cell]

Peak list (6 most intense, 2θ from 5° to 70°, in order of rising 2θ)
- 2θ 18.58, rel. 689
- 2θ 22.94, rel. 287
- 2θ 32.66, rel. 504
- 2θ 37.68, rel. 312
- 2θ 37.84, rel. 1000
- 2θ 46.86, rel. 314

=====

Structure and simulated powder XRD pattern of LaBC2 (a structure optimized by DFT (PBE); Cu Kα, 1.54184 Å).

Structure:
a b c (Å): 7.3857 3.8453 4.2370
angles (deg): 90.00 90.00 90.00
Space group Pmma (No. 51)
Inequivalent atoms, fractional coordinates:
La (0.2500, 0.0000, 0.2384) [2 per cell]
B (0.2500, 0.5000, 0.7445) [2 per cell]
C (0.0729, 0.5000, 0.9109) [4 per cell]

Peak list (6 most intense, 2θ from 5° to 70°, in order of rising 2θ)
- 2θ 23.13, rel. 212
- 2θ 24.10, rel. 316
- 2θ 24.22, rel. 531
- 2θ 33.71, rel. 1000
- 2θ 48.91, rel. 193
- 2θ 53.79, rel. 200

=====

Structure and simulated powder XRD pattern of La4B5C2 (a structure optimized by DFT (PBE); Cu Kα, 1.54184 Å).

Structure:
a b c (Å): 7.1446 3.6426 7.5167
angles (deg): 90.00 97.71 90.00
Space group P2/m (No. 10)
Inequivalent atoms, fractional coordinates:
La (0.1020, 0.0000, 0.2312) [2 per cell]
La (0.3468, 0.0000, 0.7228) [2 per cell]
B (0.2483, 0.5000, 0.9750) [2 per cell]
B (0.3709, 0.5000, 0.1710) [2 per cell]
B (0.5000, 0.5000, 0.0000) [1 per cell]
C (0.0881, 0.5000, 0.5375) [2 per cell]

Peak list (6 most intense, 2θ from 5° to 70°, in order of rising 2θ)
- 2θ 23.89, rel. 971
- 2θ 24.44, rel. 884
- 2θ 26.39, rel. 800
- 2θ 29.35, rel. 584
- 2θ 34.44, rel. 1000
- 2θ 36.27, rel. 922